Calculated powder XRD pattern
Compound: Rb4La3InO8
Radiation: copper Kα
Structure: DFT lattice parameters and positions (GGA-PBE)

Peak list (10 most intense, 2θ from 5° to 70°, by angle)
Position (°2θ)  d/Å  intensity  (hkl)
13.44  6.586  18.0  0 0 3
27.08  3.293  36.8  0 0 6
29.54  3.024  79.1  2 0 2
33.54  2.672  100.0  0 2 4
46.58  1.950  34.4  2 0 8
49.72  1.834  32.5  2 2 0
54.71  1.678  18.4  0 2 10
57.52  1.602  27.6  2 2 6
58.90  1.568  11.9  0 4 2
61.31  1.512  16.2  4 0 4

Atomic structure:
a = 7.3356 Å, b = 7.3356 Å, c = 19.7576 Å
α = 90.00°, β = 90.00°, γ = 120.00°
Space group R-3m (No. 166, hexagonal axes)
Asymmetric unit:
1 Rb 0.0000 0.0000 0.0000 [3 per cell]
2 Rb 0.0000 0.5000 0.0000 [9 per cell]
3 La 0.0000 0.5000 0.5000 [9 per cell]
4 In 0.0000 0.0000 0.5000 [3 per cell]
5 O 0.0000 0.0000 0.2265 [6 per cell]
6 O 0.0134 0.5067 0.2273 [18 per cell]